Diffraction record for Cs2TbI6. The X-ray powder pattern is simulated, not measured: it uses a structure optimized by DFT (GGA-PBE) and Cu Kα X-rays.

Largest 8 diffraction maxima, most intense first, 2θ = 10–90°:
27.43°, intensity 100, (2 0 2)
25.10°, intensity 53, (0 0 4)
30.89°, intensity 36, (2 0 3)
42.83°, intensity 34, (2 2 0)
50.27°, intensity 27, (2 2 4)
45.63°, intensity 24, (2 0 6)
40.18°, intensity 18, (2 0 5)
69.10°, intensity 18, (2 2 8)

Structure:
```
data_Cs2TbI6
_symmetry_space_group_name_H-M 'P 63 m c'
_symmetry_Int_Tables_number 186
_symmetry_space_group_name_Hall 'P 6c -2c'
_cell_length_a 8.4463
_cell_length_b 8.4463
_cell_length_c 14.2122
_cell_angle_alpha 90.00
_cell_angle_beta 90.00
_cell_angle_gamma 120.00
loop_
_atom_site_label
_atom_site_fract_x
_atom_site_fract_y
_atom_site_fract_z
Cs1 0.0000 0.0000 0.0000
Cs2 0.3333 0.6667 0.2483
Tb1 0.3333 0.6667 0.6236
I1 0.0010 0.5005 0.9974
I2 0.1628 0.3255 0.7453
```